Cs2VSeF6: theoretical X-ray powder pattern (a wavelength of 1.5418 Å), based on DFT lattice parameters and positions (GGA+U).

Cell lengths 7.1594, 7.1594, 8.2385 Å; angles 90.00, 90.00, 90.00 degrees
Space group I4/mmm (No. 139)
Unique sites:
Cs1 0.0000 0.5000 0.2500 (multiplicity 4)
V1 0.0000 0.0000 0.0000 (multiplicity 2)
Se1 0.0000 0.0000 0.5000 (multiplicity 2)
F1 0.0000 0.0000 0.2557 (multiplicity 4)
F2 0.1911 0.1911 0.0000 (multiplicity 8)

Top 8 peaks for 2θ from 15° to 90°, low angle first:
2theta	intensity	(hkl)
24.9	71	2 0 0
27.9	100	1 1 2
33.2	25	2 0 2
35.5	45	2 2 0
45.7	42	3 1 2
51.2	19	2 0 4
57.6	17	4 2 0
57.7	20	2 2 4